Computed X-ray diffraction stick pattern
Compound: Cs2NaCaCl6
Radiation: CuKα
Structure: a crystal structure in the Materials Project, relaxed with GGA-PBE
Peak positions follow from Bragg's law for the DFT cell and can differ from measured ones.

Structural model:
```
Cs2NaCaCl6
1.0
0.000 5.479 5.479
5.479 0.000 5.479
5.479 5.479 0.000
Cs Na Ca Cl
2 1 1 6
Cartesian
2.740 2.740 2.740
8.219 8.219 8.219
0.000 0.000 0.000
5.479 5.479 5.479
5.479 5.479 2.764
5.479 2.764 5.479
8.195 5.479 5.479
2.764 5.479 5.479
5.479 8.195 5.479
5.479 5.479 8.195
```

Main lines, by angle (2θ from 10° to 80°):
- 2θ 22.95, I = 93
- 2θ 28.21, I = 100
- 2θ 32.69, I = 88
- 2θ 40.32, I = 43
- 2θ 46.90, I = 59
- 2θ 55.63, I = 39